# 1
This entry pairs a crystal structure of Ca11Os2N10 with its theoretical powder diffraction line list. Radiation: a wavelength of 1.5418 Å. Structure: the PBE geometry in the Materials Project.
Intensities are scaled so that the largest is 100.

The 6 most intense peaks (10 to 90 degrees two-theta), in order of falling intensity:
d/Å, Position (°2θ), I (rel.)
6.946, 12.75, 100.0
2.735, 32.75, 59.0
2.745, 32.62, 57.7
2.884, 31.01, 39.6
2.872, 31.15, 38.6
2.309, 39.01, 37.4

Structure:
Lattice parameters (Å, degrees): 15.531 15.531 3.540 90.00 90.00 90.00
Fractional coordinates of all 46 atoms:
Ca 0.000 0.000 0.000
Ca 0.004 0.224 0.500
Ca 0.102 0.617 0.000
Ca 0.117 0.398 0.500
Ca 0.208 0.208 0.000
Ca 0.224 0.004 0.500
Ca 0.276 0.504 0.000
Ca 0.292 0.708 0.500
Ca 0.383 0.898 0.000
Ca 0.398 0.117 0.500
Ca 0.496 0.724 0.000
Ca 0.500 0.500 0.500
Ca 0.504 0.276 0.000
Ca 0.602 0.883 0.500
Ca 0.617 0.102 0.000
Ca 0.708 0.292 0.500
Ca 0.724 0.496 0.000
Ca 0.776 0.996 0.500
Ca 0.792 0.792 0.000
Ca 0.883 0.602 0.500
Ca 0.898 0.383 0.000
Ca 0.996 0.776 0.500
Os 0.146 0.854 0.000
Os 0.354 0.354 0.500
Os 0.646 0.646 0.500
Os 0.854 0.146 0.000
N 0.048 0.324 0.000
N 0.077 0.077 0.500
N 0.134 0.134 0.500
N 0.176 0.548 0.500
N 0.225 0.775 0.000
N 0.275 0.275 0.500
N 0.324 0.048 0.000
N 0.366 0.634 0.000
N 0.423 0.577 0.000
N 0.452 0.824 0.500
N 0.548 0.176 0.500
N 0.577 0.423 0.000
N 0.634 0.366 0.000
N 0.676 0.952 0.000
N 0.725 0.725 0.500
N 0.775 0.225 0.000
N 0.824 0.452 0.500
N 0.866 0.866 0.500
N 0.923 0.923 0.500
N 0.952 0.676 0.000

# 2
This entry pairs a crystal structure of Ca5Os2N6 with its theoretical powder diffraction line list. Radiation: a wavelength of 1.5418 Å. Structure: the PBE geometry in the Materials Project.
Intensities are scaled so that the largest is 100.

The 6 most intense peaks (10 to 90 degrees two-theta), in order of falling intensity:
d/Å, Position (°2θ), I (rel.)
6.139, 14.43, 100.0
4.894, 18.13, 89.2
5.256, 16.87, 68.6
2.569, 34.92, 67.8
2.837, 31.54, 56.8
3.847, 23.12, 51.2

Structure:
Lattice parameters (Å, degrees): 6.014 6.014 12.613 101.05 101.05 66.57
Fractional coordinates of all 26 atoms:
Ca 0.115 0.885 0.750
Ca 0.178 0.689 0.998
Ca 0.232 0.450 0.283
Ca 0.311 0.822 0.502
Ca 0.450 0.232 0.783
Ca 0.550 0.768 0.217
Ca 0.689 0.178 0.498
Ca 0.768 0.550 0.717
Ca 0.822 0.311 0.002
Ca 0.885 0.115 0.250
Os 0.181 0.357 0.558
Os 0.357 0.181 0.058
Os 0.643 0.819 0.942
Os 0.819 0.643 0.442
N 0.102 0.180 0.643
N 0.180 0.102 0.143
N 0.205 0.216 0.412
N 0.216 0.205 0.912
N 0.410 0.495 0.626
N 0.495 0.410 0.126
N 0.505 0.590 0.874
N 0.590 0.505 0.374
N 0.784 0.795 0.088
N 0.795 0.784 0.588
N 0.820 0.898 0.857
N 0.898 0.820 0.357

# 3
This entry pairs a crystal structure of CaOsN2 with its theoretical powder diffraction line list. Radiation: a wavelength of 1.5418 Å. Structure: the PBE geometry in the Materials Project.
Intensities are scaled so that the largest is 100.

The 6 most intense peaks (10 to 90 degrees two-theta), in order of falling intensity:
d/Å, Position (°2θ), I (rel.)
2.272, 39.67, 100.0
2.645, 33.89, 99.0
5.125, 17.30, 96.4
2.771, 32.31, 54.2
1.626, 56.59, 34.8
2.563, 35.01, 32.0

Structure:
Lattice parameters (Å, degrees): 5.459 5.459 5.459 34.67 34.67 34.67
Fractional coordinates of all 4 atoms:
Ca 0.000 0.000 0.000
Os 0.500 0.500 0.500
N 0.232 0.232 0.232
N 0.768 0.768 0.768

# 4
This entry pairs a crystal structure of Ca4OsN4 with its theoretical powder diffraction line list. Radiation: a wavelength of 1.5418 Å. Structure: the PBE geometry in the Materials Project.
Intensities are scaled so that the largest is 100.

The 6 most intense peaks (10 to 90 degrees two-theta), in order of falling intensity:
d/Å, Position (°2θ), I (rel.)
5.347, 16.58, 100.0
2.835, 31.56, 91.7
2.621, 34.21, 78.4
4.848, 18.30, 75.9
2.425, 37.07, 62.3
3.904, 22.78, 61.6

Structure:
Lattice parameters (Å, degrees): 6.043 6.096 8.560 87.76 70.85 69.82
Fractional coordinates of all 18 atoms:
Ca 0.056 0.235 0.433
Ca 0.191 0.228 0.018
Ca 0.264 0.720 0.151
Ca 0.426 0.295 0.622
Ca 0.574 0.705 0.378
Ca 0.736 0.280 0.849
Ca 0.809 0.772 0.982
Ca 0.944 0.765 0.567
Os 0.386 0.799 0.757
Os 0.614 0.201 0.243
N 0.164 0.012 0.672
N 0.268 0.552 0.884
N 0.301 0.481 0.378
N 0.414 0.021 0.207
N 0.586 0.979 0.793
N 0.699 0.519 0.622
N 0.732 0.448 0.116
N 0.836 0.988 0.328

# 5
This entry pairs a crystal structure of Ca3PN with its theoretical powder diffraction line list. Radiation: a wavelength of 1.5418 Å. Structure: the PBE geometry in the Materials Project.
Intensities are scaled so that the largest is 100.

The 6 most intense peaks (10 to 90 degrees two-theta), in order of falling intensity:
d/Å, Position (°2θ), I (rel.)
2.728, 32.83, 100.0
2.363, 38.09, 68.2
1.671, 54.96, 41.6
1.425, 65.51, 35.3
1.364, 68.82, 13.2
4.726, 18.78, 10.2

Structure:
Lattice parameters (Å, degrees): 4.726 4.726 4.726 90.00 90.00 90.00
Fractional coordinates of all 5 atoms:
Ca 0.000 0.000 0.500
Ca 0.000 0.500 0.000
Ca 0.500 0.000 0.000
P 0.500 0.500 0.500
N 0.000 0.000 0.000

# 6
This entry pairs a crystal structure of Ca2PN3 with its theoretical powder diffraction line list. Radiation: a wavelength of 1.5418 Å. Structure: the PBE geometry in the Materials Project.
Intensities are scaled so that the largest is 100.

The 6 most intense peaks (10 to 90 degrees two-theta), in order of falling intensity:
d/Å, Position (°2θ), I (rel.)
2.612, 34.33, 100.0
2.571, 34.90, 95.4
2.075, 43.62, 42.6
2.797, 32.00, 39.0
2.531, 35.47, 35.3
2.419, 37.16, 35.2

Structure:
Lattice parameters (Å, degrees): 5.814 5.814 11.317 90.00 90.00 126.60
Fractional coordinates of all 24 atoms:
Ca 0.052 0.948 0.858
Ca 0.138 0.862 0.426
Ca 0.362 0.638 0.926
Ca 0.448 0.552 0.358
Ca 0.552 0.448 0.642
Ca 0.638 0.362 0.074
Ca 0.862 0.138 0.574
Ca 0.948 0.052 0.142
P 0.244 0.756 0.665
P 0.256 0.744 0.165
P 0.744 0.256 0.835
P 0.756 0.244 0.335
N 0.039 0.461 0.750
N 0.089 0.911 0.640
N 0.160 0.840 0.051
N 0.340 0.660 0.551
N 0.411 0.589 0.140
N 0.461 0.039 0.250
N 0.539 0.961 0.750
N 0.589 0.411 0.860
N 0.660 0.340 0.449
N 0.840 0.160 0.949
N 0.911 0.089 0.360
N 0.961 0.539 0.250

# 7
This entry pairs a crystal structure of Ca2PbN2 with its theoretical powder diffraction line list. Radiation: a wavelength of 1.5418 Å. Structure: the PBE geometry in the Materials Project.
Intensities are scaled so that the largest is 100.

The 6 most intense peaks (10 to 90 degrees two-theta), in order of falling intensity:
d/Å, Position (°2θ), I (rel.)
3.105, 28.75, 100.0
2.423, 37.10, 55.9
6.714, 13.19, 40.7
2.022, 44.83, 27.1
3.502, 25.43, 26.3
1.500, 61.84, 18.4

Structure:
Lattice parameters (Å, degrees): 4.044 4.044 6.714 90.00 90.00 120.00
Fractional coordinates of all 5 atoms:
Ca 0.333 0.667 0.341
Ca 0.667 0.333 0.659
Pb 0.000 0.000 0.000
N 0.333 0.667 0.728
N 0.667 0.333 0.272

# 8
This entry pairs a crystal structure of Ca2PbN2 with its theoretical powder diffraction line list. Radiation: a wavelength of 1.5418 Å. Structure: the PBE geometry in the Materials Project.
Intensities are scaled so that the largest is 100.

The 6 most intense peaks (10 to 90 degrees two-theta), in order of falling intensity:
d/Å, Position (°2θ), I (rel.)
2.844, 31.45, 100.0
3.486, 25.55, 72.2
6.953, 12.73, 67.6
2.547, 35.23, 48.3
1.714, 53.45, 27.4
2.505, 35.85, 24.8

Structure:
Lattice parameters (Å, degrees): 3.597 13.907 3.607 90.00 90.00 90.00
Fractional coordinates of all 10 atoms:
Ca 0.250 0.081 0.248
Ca 0.250 0.419 0.248
Ca 0.750 0.581 0.752
Ca 0.750 0.919 0.752
Pb 0.250 0.750 0.348
Pb 0.750 0.250 0.652
N 0.250 0.592 0.222
N 0.250 0.908 0.222
N 0.750 0.092 0.778
N 0.750 0.408 0.778

# 9
This entry pairs a crystal structure of Ca7PbN6 with its theoretical powder diffraction line list. Radiation: a wavelength of 1.5418 Å. Structure: the PBE geometry in the Materials Project.
Intensities are scaled so that the largest is 100.

The 6 most intense peaks (10 to 90 degrees two-theta), in order of falling intensity:
d/Å, Position (°2θ), I (rel.)
4.237, 20.97, 100.0
2.817, 31.76, 98.0
2.591, 34.62, 66.9
5.673, 15.62, 61.2
6.371, 13.90, 45.3
4.382, 20.27, 44.6

Structure:
Lattice parameters (Å, degrees): 9.346 9.346 9.346 139.78 99.55 94.04
Fractional coordinates of all 28 atoms:
Ca 0.051 0.211 0.262
Ca 0.092 0.495 0.843
Ca 0.152 0.995 0.403
Ca 0.250 0.250 0.000
Ca 0.348 0.750 0.843
Ca 0.408 0.250 0.403
Ca 0.449 0.711 0.160
Ca 0.551 0.289 0.840
Ca 0.592 0.750 0.597
Ca 0.652 0.250 0.157
Ca 0.750 0.750 0.000
Ca 0.848 0.005 0.597
Ca 0.908 0.505 0.157
Ca 0.949 0.789 0.738
Pb 0.250 0.750 0.500
Pb 0.750 0.250 0.500
N 0.057 0.888 0.592
N 0.147 0.871 0.019
N 0.204 0.612 0.169
N 0.296 0.465 0.408
N 0.353 0.371 0.724
N 0.443 0.035 0.831
N 0.557 0.965 0.169
N 0.647 0.629 0.276
N 0.704 0.535 0.592
N 0.796 0.388 0.831
N 0.853 0.129 0.981
N 0.943 0.112 0.408

# 10
This entry pairs a crystal structure of Ca6Pb2SeN with its theoretical powder diffraction line list. Radiation: a wavelength of 1.5418 Å. Structure: the PBE geometry in the Materials Project.
Intensities are scaled so that the largest is 100.

The 6 most intense peaks (10 to 90 degrees two-theta), in order of falling intensity:
d/Å, Position (°2θ), I (rel.)
3.680, 24.19, 100.0
3.004, 29.74, 72.0
2.602, 34.47, 64.4
2.124, 42.56, 44.8
1.840, 49.55, 43.8
5.204, 17.04, 29.0

Structure:
Lattice parameters (Å, degrees): 7.359 7.359 7.359 60.00 60.00 60.00
Fractional coordinates of all 10 atoms:
Ca 0.231 0.231 0.769
Ca 0.231 0.769 0.231
Ca 0.231 0.769 0.769
Ca 0.769 0.231 0.231
Ca 0.769 0.231 0.769
Ca 0.769 0.769 0.231
Pb 0.250 0.250 0.250
Pb 0.750 0.750 0.750
Se 0.500 0.500 0.500
N 0.000 0.000 0.000

# 11
This entry pairs a crystal structure of Ca2PdN2 with its theoretical powder diffraction line list. Radiation: a wavelength of 1.5418 Å. Structure: the PBE geometry in the Materials Project.
Intensities are scaled so that the largest is 100.

The 6 most intense peaks (10 to 90 degrees two-theta), in order of falling intensity:
d/Å, Position (°2θ), I (rel.)
2.729, 32.82, 100.0
2.518, 35.65, 71.1
3.430, 25.98, 40.6
1.623, 56.70, 32.8
1.491, 62.26, 30.9
6.372, 13.90, 30.7

Structure:
Lattice parameters (Å, degrees): 6.852 6.852 6.852 149.87 149.87 43.13
Fractional coordinates of all 5 atoms:
Ca 0.155 0.155 0.000
Ca 0.845 0.845 0.000
Pd 0.500 0.500 0.000
N 0.347 0.347 0.000
N 0.653 0.653 0.000

# 12
This entry pairs a crystal structure of CaPd2N2 with its theoretical powder diffraction line list. Radiation: a wavelength of 1.5418 Å. Structure: the PBE geometry in the Materials Project.
Intensities are scaled so that the largest is 100.

The 6 most intense peaks (10 to 90 degrees two-theta), in order of falling intensity:
d/Å, Position (°2θ), I (rel.)
2.655, 33.76, 100.0
2.228, 40.49, 92.5
7.093, 12.48, 33.7
1.653, 55.60, 33.1
2.364, 38.06, 24.7
1.355, 69.37, 24.6

Structure:
Lattice parameters (Å, degrees): 3.306 3.306 7.093 90.00 90.00 120.00
Fractional coordinates of all 5 atoms:
Ca 0.000 0.000 0.000
Pd 0.333 0.667 0.345
Pd 0.667 0.333 0.655
N 0.333 0.667 0.782
N 0.667 0.333 0.218